Structure and computed XRD peak list of Na2InHg4 (the GGA-PBE geometry in Alexandria; CuKα).

```
data_Na2InHg4
_chemical_formula_sum 'Na8 In4 Hg16'
_cell_length_a 6.6068
_cell_length_b 10.6730
_cell_length_c 10.6884
_cell_angle_alpha 90.00
_cell_angle_beta 90.00
_cell_angle_gamma 90.00
_space_group_name_H-M_alt 'F m m m'
_space_group_IT_number 69
_space_group_name_Hall '-F 2 2'
loop_
_atom_site_label
_atom_site_type_symbol
_atom_site_fract_x
_atom_site_fract_y
_atom_site_fract_z
Na1 Na 0.2500 0.2500 0.2500
In1 In 0.0000 0.0000 0.0000
Hg1 Hg 0.0000 0.0000 0.2956
Hg2 Hg 0.0000 0.2013 0.5000
```

The 10 most intense peaks (10° ≤ 2θ ≤ 80°), in order of falling intensity:
- 38.26°, 2.352 Å, rel. 100, hkl 1 3 3
- 26.99°, 3.303 Å, rel. 85, hkl 2 0 0
- 23.56°, 3.776 Å, rel. 77, hkl 0 2 2
- 36.13°, 2.486 Å, rel. 76, hkl 2 2 2
- 29.71°, 3.007 Å, rel. 69, hkl 1 3 1
- 33.56°, 2.670 Å, rel. 67, hkl 0 0 4
- 43.58°, 2.077 Å, rel. 49, hkl 2 0 4
- 68.38°, 1.372 Å, rel. 41, hkl 1 3 7
- 45.42°, 1.997 Å, rel. 37, hkl 1 1 5
- 55.43°, 1.658 Å, rel. 34, hkl 3 3 3